Starting from a DFT-relaxed cell (GGA+U, Alexandria), the X-ray diffraction stick pattern of Li2MnOF3 was computed for Cu Kα X-rays.
Peak positions follow from Bragg's law for the DFT cell and can differ from measured ones.

Main lines, in order of rising 2θ (2θ = 5–70°):
Position (°2θ)  Rel. int.  (hkl)
14.6  40.6  1 0 0
18.1  100.0  1 0 1
23.4  70.8  1 1 1
34.8  39.9  2 1 1
42.2  74.2  2 2 0
62.4  42.1  2 2 4

Crystal structure
Unit cell a=6.0577 b=6.0577 c=8.2889 alpha=90.00 beta=90.00 gamma=90.00
Fractional coordinates of all 28 atoms:
Li: 0.0172 0.2321 0.0000
Li: 0.2321 0.9828 0.7500
Li: 0.2428 0.7354 0.1139
Li: 0.2646 0.2428 0.3639
Li: 0.7354 0.7572 0.8639
Li: 0.7572 0.2646 0.6139
Li: 0.7679 0.0172 0.2500
Li: 0.9828 0.7679 0.5000
Mn: 0.2449 0.5028 0.7509
Mn: 0.4972 0.2449 0.0009
Mn: 0.5028 0.7551 0.5009
Mn: 0.7551 0.4972 0.2509
O: 0.2795 0.4669 0.9767
O: 0.4669 0.7205 0.7267
O: 0.5331 0.2795 0.2267
O: 0.7205 0.5331 0.4767
F: 0.0015 0.2462 0.2379
F: 0.0257 0.2603 0.7509
F: 0.2233 0.5006 0.5092
F: 0.2462 0.9985 0.9879
F: 0.2603 0.9743 0.5009
F: 0.4994 0.2233 0.7592
F: 0.5006 0.7767 0.2592
F: 0.7397 0.0257 0.0009
F: 0.7538 0.0015 0.4879
F: 0.7767 0.4994 0.0092
F: 0.9743 0.7397 0.2509
F: 0.9985 0.7538 0.7379